The following is a calculated powder XRD pattern of CeTmInOs. It was derived from a DFT-relaxed cell (PBE, Alexandria), using Cu Kα (weighted mean of Kα1 and Kα2).
No peak broadening, texture or thermal motion is included.

Main lines, low angle first (10° ≤ 2θ ≤ 90°):
two_theta, I (rel.)
10.5, 31
34.3, 100
38.1, 44
42.1, 17
43.0, 8
55.0, 15
58.8, 13
66.4, 29

Crystal structure
Cell lengths 3.3385, 3.3385, 8.4128 Å; angles 90.00, 90.00, 90.00 degrees
Space group P4mm (No. 99)
Symmetry-distinct sites (fractional):
1 Ce 0.0000 0.0000 0.0000
2 Tm 0.0000 0.0000 0.5887
3 In 0.5000 0.5000 0.3035
4 Os 0.5000 0.5000 0.7890



The following is a calculated powder XRD pattern of Y2Ga3Ru. It was derived from a DFT-relaxed cell (PBE, Alexandria), using Cu Kα (weighted mean of Kα1 and Kα2).
No peak broadening, texture or thermal motion is included.

Main lines, low angle first (10° ≤ 2θ ≤ 90°):
two_theta, I (rel.)
32.7, 37
38.6, 32
38.8, 100
39.2, 45
40.5, 48
62.5, 24
68.6, 24
69.7, 23

Crystal structure
Cell lengths 5.4730, 5.4730, 13.1387 Å; angles 90.00, 90.00, 120.00 degrees
Space group R-3m (No. 166, hexagonal axes)
Symmetry-distinct sites (fractional):
1 Y 0.0000 0.0000 0.1268
2 Ga 0.0000 0.5000 0.0000
3 Ru 0.0000 0.0000 0.5000